Diffraction record for Li3Fe3P4O16. The powder diffraction line list is computed, not measured: it uses a GGA+U-relaxed structure and CuKα.
Neutral-atom scattering factors, no anomalous dispersion.

Crystal structure
```
data_Li3Fe3P4O16
_cell_length_a 19.1720
_cell_length_b 6.4041
_cell_length_c 10.6163
_cell_angle_alpha 90.00
_cell_angle_beta 91.10
_cell_angle_gamma 90.00
_symmetry_space_group_name_H-M 'C 1 2/c 1'
_symmetry_Int_Tables_number 15
_symmetry_space_group_name_Hall '-C 2yc'
loop_
_atom_site_label
_atom_site_type_symbol
_atom_site_fract_x
_atom_site_fract_y
_atom_site_fract_z
_atom_site_occupancy
Li1 Li 0.0000 0.0885 0.2500 1
Li2 Li 0.0707 0.3602 0.9666 1
Fe1 Fe 0.1530 0.0228 0.7490 1
Fe2 Fe 0.2500 0.2500 0.5000 1
P1 P 0.0808 0.1637 0.4922 1
P2 P 0.1996 0.4795 0.2438 1
O1 O 0.0187 0.3016 0.4597 1
O2 O 0.0759 0.0478 0.6218 1
O3 O 0.0864 0.0107 0.8876 1
O4 O 0.1479 0.2988 0.4939 1
O5 O 0.1533 0.3351 0.7776 1
O6 O 0.1546 0.2888 0.2144 1
O7 O 0.2439 0.0529 0.6458 1
O8 O 0.2464 0.0201 0.3644 1
```

The 6 most intense peaks (15 to 90 degrees two-theta), low angle first:
d 5.288, intensity 100
d 5.258, intensity 88
d 4.606, intensity 46
d 3.065, intensity 42
d 2.742, intensity 94
d 2.654, intensity 44